# LiHgPdAu
Theoretical powder XRD pattern, Cu Kα X-rays. Input: a crystal structure in OQMD, relaxed with GGA-PBE.
Peak positions follow from Bragg's law for the DFT cell and can differ from measured ones.

Peak list (10 most intense, 10 to 90 degrees two-theta, low angle first)
Position (°2θ), d [Å], I_rel
24.58, 3.621, 53
38.26, 2.353, 100
39.16, 2.301, 16
42.94, 2.106, 18
45.22, 2.005, 31
52.13, 1.754, 15
64.12, 1.452, 22
75.55, 1.258, 14
78.81, 1.214, 25
81.89, 1.176, 11

Cell and atoms:
```
8
Lattice="4.0108 0.0000 0.0000 0.0000 4.0108 0.0000 0.0000 0.0000 8.4256" Properties=species:S:1:pos:R:3 pbc="T T T"
Li 0.0000 0.0000 0.0000
Li 2.0054 2.0054 4.2128
Hg 0.0000 2.0054 6.3192
Hg 2.0054 0.0000 2.1064
Pd 0.0000 2.0054 2.1064
Pd 2.0054 0.0000 6.3192
Au 0.0000 0.0000 4.2128
Au 2.0054 2.0054 0.0000
```

***

# NdTmHg2Au4
Theoretical powder XRD pattern, Cu Kα X-rays. Input: a crystal structure in OQMD, relaxed with GGA-PBE.
Peak positions follow from Bragg's law for the DFT cell and can differ from measured ones.

Peak list (9 most intense, 10 to 90 degrees two-theta, low angle first)
Position (°2θ), d [Å], I_rel
12.61, 7.019, 1
21.94, 4.052, 1
36.20, 2.481, 100
46.66, 1.947, 1
52.13, 1.755, 18
65.11, 1.433, 36
72.53, 1.303, 1
76.83, 1.241, 11
88.01, 1.110, 17

Cell and atoms:
```
8
Lattice="4.9625 0.0000 0.0000 0.0000 4.9625 0.0000 0.0000 0.0000 7.0186" Properties=species:S:1:pos:R:3 pbc="T T T"
Nd 0.0000 0.0000 0.0000
Tm 2.4813 2.4813 3.5093
Hg 0.0000 0.0000 3.5093
Hg 2.4813 2.4813 0.0000
Au 0.0000 2.4813 1.8478
Au 0.0000 2.4813 5.1708
Au 2.4813 0.0000 1.8478
Au 2.4813 0.0000 5.1708
```

***

# Pr3Hg3PdPtAu
Theoretical powder XRD pattern, Cu Kα X-rays. Input: a crystal structure in OQMD, relaxed with GGA-PBE.
Peak positions follow from Bragg's law for the DFT cell and can differ from measured ones.

Peak list (10 most intense, 10 to 90 degrees two-theta, low angle first)
Position (°2θ), d [Å], I_rel
22.62, 3.931, 13
31.96, 2.800, 100
34.34, 2.611, 57
34.56, 2.595, 74
39.11, 2.303, 49
41.51, 2.175, 41
46.18, 1.966, 24
58.80, 1.570, 25
62.08, 1.495, 26
63.26, 1.470, 36

Cell and atoms:
```
9
Lattice="7.9782 0.0000 0.0000 -3.9891 6.9093 0.0000 0.0000 0.0000 3.9312" Properties=species:S:1:pos:R:3 pbc="T T T"
Pr -1.5144 2.8104 0.0000
Pr -0.7980 6.8156 0.0000
Pr 2.3124 4.1926 0.0000
Hg 1.0428 1.7897 1.9656
Hg 5.9068 0.0082 1.9656
Hg 5.0176 5.1114 1.9656
Pd 0.0000 0.0000 0.0000
Pt 0.0000 4.6062 1.9656
Au 3.9891 2.3031 1.9656
```

***

# Pr3ZnHg2Pt2Au
Theoretical powder XRD pattern, Cu Kα X-rays. Input: a crystal structure in OQMD, relaxed with GGA-PBE.
Peak positions follow from Bragg's law for the DFT cell and can differ from measured ones.

Peak list (10 most intense, 10 to 90 degrees two-theta, low angle first)
Position (°2θ), d [Å], I_rel
32.03, 2.795, 62
32.25, 2.776, 83
34.62, 2.591, 94
34.88, 2.572, 100
35.05, 2.560, 43
40.17, 2.245, 59
42.25, 2.139, 29
45.56, 1.991, 45
62.34, 1.489, 39
64.27, 1.449, 28

Cell and atoms:
```
9
Lattice="3.9820 0.0000 0.0000 0.0000 6.8251 3.8719 0.0000 -6.8251 3.8719" Properties=species:S:1:pos:R:3 pbc="T T T"
Pr 0.0000 0.0000 0.0000
Pr 0.0000 -2.7914 4.7386
Pr 0.0000 2.7914 4.7386
Zn 1.9910 0.0000 5.2259
Hg 1.9910 -1.7726 2.1514
Hg 1.9910 1.7726 2.1514
Pt 1.9910 -4.6437 3.0708
Pt 1.9910 4.6437 3.0708
Au 0.0000 0.0000 3.4038
```

***

# HoIn2Au2
Theoretical powder XRD pattern, Cu Kα X-rays. Input: a crystal structure in OQMD, relaxed with GGA-PBE.
Peak positions follow from Bragg's law for the DFT cell and can differ from measured ones.

Peak list (10 most intense, 10 to 90 degrees two-theta, low angle first)
Position (°2θ), d [Å], I_rel
30.37, 2.944, 38
32.35, 2.767, 100
40.75, 2.214, 58
42.04, 2.149, 33
43.39, 2.085, 32
51.64, 1.770, 20
58.99, 1.566, 19
61.04, 1.518, 23
68.90, 1.363, 23
77.70, 1.229, 13

Cell and atoms:
```
10
Lattice="4.4288 0.0000 0.0000 0.0000 4.4288 0.0000 0.0000 0.0000 11.8187" Properties=species:S:1:pos:R:3 pbc="T T T"
Ho 1.1072 1.1072 2.8702
Ho 3.3216 3.3216 8.9485
In 1.1072 1.1072 10.2153
In 1.1072 3.3216 5.9093
In 3.3216 1.1072 5.9093
In 3.3216 3.3216 1.6034
Au 1.1072 1.1072 7.6163
Au 1.1072 3.3216 0.0000
Au 3.3216 1.1072 0.0000
Au 3.3216 3.3216 4.2024
```

***

# Ho2TmIn3Pd2Au
Theoretical powder XRD pattern, Cu Kα X-rays. Input: a crystal structure in OQMD, relaxed with GGA-PBE.
Peak positions follow from Bragg's law for the DFT cell and can differ from measured ones.

Peak list (10 most intense, 10 to 90 degrees two-theta, low angle first)
Position (°2θ), d [Å], I_rel
26.46, 3.369, 15
33.02, 2.713, 92
35.24, 2.547, 36
35.67, 2.517, 100
40.15, 2.246, 54
42.79, 2.113, 30
48.07, 1.893, 23
48.73, 1.869, 15
64.37, 1.447, 26
65.17, 1.432, 26

Cell and atoms:
```
9
Lattice="3.7857 0.0000 0.0000 0.0000 6.7313 3.8942 0.0000 -6.7313 3.8942" Properties=species:S:1:pos:R:3 pbc="T T T"
Ho 0.0000 -4.0038 3.8942
Ho 0.0000 4.0038 3.8942
Tm 0.0000 0.0000 4.7337
In 1.8929 -1.8201 2.6340
In 1.8929 1.8201 2.6340
In 1.8929 0.0000 7.2563
Pd 1.8929 -2.2303 5.4690
Pd 1.8929 2.2303 5.4690
Au 0.0000 0.0000 1.5831
```